Starting from a crystal structure in Alexandria, relaxed with GGA+U, the X-ray diffraction stick pattern of ErMoO5 was simulated for Cu Kα, 1.54184 Å.

Atomic structure:
Cell lengths 5.2858, 12.5218, 6.8560 Å; angles 90.00, 116.07, 90.00 degrees
Space group P2_1/c (No. 14)
One atom of each set of equivalent atoms:
Er: 0.1447 0.0539 0.2892 [4 per cell]
Mo: 0.4029 0.1391 0.8536 [4 per cell]
O: 0.0094 0.5819 0.9547 [4 per cell]
O: 0.1928 0.0640 0.9643 [4 per cell]
O: 0.2696 0.6501 0.4140 [4 per cell]
O: 0.2906 0.2269 0.2863 [4 per cell]
O: 0.4897 0.5728 0.8433 [4 per cell]

The 8 most intense peaks (2θ = 15–90°), in order of falling intensity:
h k l	2θ/deg	intensity
1 2 -1	22.88	100
1 1 0	20.00	90
1 3 -1	27.94	87
1 0 -2	26.70	84
1 3 0	28.48	82
1 1 1	29.23	78
2 1 -1	34.75	73
1 2 0	23.52	69